This entry pairs a crystal structure of CsHoCr2O8 with its simulated powder diffraction line list. Radiation: Cu Ka. Structure: a structure optimized by DFT (PBE+U).
Peak positions follow from Bragg's law for the DFT cell and can differ from measured ones.

Principal peaks in the range 2θ from 10° to 90°, by intensity:
index	2theta	d_spacing	intensity
0 1 2	27.57	3.235	100
1 0 0	17.63	5.031	70
1 1 0	30.79	2.904	55
0 1 1	20.55	4.323	41
0 2 2	41.79	2.161	39
3 -2 2	52.80	1.734	31
1 1 4	53.65	1.708	21
2 -1 2	37.58	2.393	19
1 0 4	46.63	1.948	15
3 1 2	71.17	1.325	13

```
data_CsHoCr2O8
_space_group_name_H-M_alt 'P -3'
_space_group_IT_number 147
_space_group_name_Hall '-P 3'
_cell_length_a 5.8088
_cell_length_b 5.8088
_cell_length_c 8.4502
_cell_angle_alpha 90.00
_cell_angle_beta 90.00
_cell_angle_gamma 120.00
loop_
_atom_site_label
_atom_site_fract_x
_atom_site_fract_y
_atom_site_fract_z
Cs1 0.0000 0.0000 0.0000
Ho1 0.0000 0.0000 0.5000
Cr1 0.3333 0.6667 0.7268
O1 0.1712 0.3514 0.6623
O2 0.3333 0.6667 0.9190
```